Record 1
Starting from a crystal structure in OQMD, relaxed with GGA-PBE, the PXRD pattern of NdInSi2 was calculated for copper Kα.
No peak broadening, texture or thermal motion is included.

Atomic structure:
```
data_NdInSi2
_symmetry_space_group_name_H-M 'P 4/m m m'
_symmetry_Int_Tables_number 123
_symmetry_space_group_name_Hall '-P 4 2'
_cell_length_a 3.9929
_cell_length_b 3.9929
_cell_length_c 7.6699
_cell_angle_alpha 90.00
_cell_angle_beta 90.00
_cell_angle_gamma 90.00
loop_
_atom_site_label
_atom_site_type_symbol
_atom_site_fract_x
_atom_site_fract_y
_atom_site_fract_z
Nd1 Nd 0.0000 0.0000 0.0000
In1 In 0.5000 0.5000 0.5000
Si1 Si 0.5000 0.5000 0.1534
```

Largest 10 diffraction maxima, by intensity, 15° ≤ 2θ ≤ 90°:
(hkl)	2theta	I (rel.)
1 0 1	25.1	1000
1 1 0	31.7	545
1 0 3	42.0	492
0 0 2	23.2	341
1 1 2	39.6	338
2 1 3	63.6	282
2 1 1	52.6	265
2 0 0	45.4	197
2 0 2	51.6	156
1 1 6	83.0	152

=====

Record 2
Starting from a crystal structure in OQMD, relaxed with GGA-PBE, the PXRD pattern of TbNdIn5 was calculated for copper Kα.
No peak broadening, texture or thermal motion is included.

Atomic structure:
```
data_TbNdIn5
_symmetry_space_group_name_H-M 'P 4/m m m'
_symmetry_Int_Tables_number 123
_symmetry_space_group_name_Hall '-P 4 2'
_cell_length_a 4.7260
_cell_length_b 4.7260
_cell_length_c 8.6434
_cell_angle_alpha 90.00
_cell_angle_beta 90.00
_cell_angle_gamma 90.00
loop_
_atom_site_label
_atom_site_type_symbol
_atom_site_fract_x
_atom_site_fract_y
_atom_site_fract_z
Tb1 Tb 0.0000 0.0000 0.0000
Nd1 Nd 0.0000 0.0000 0.5000
In1 In 0.0000 0.5000 0.2335
In2 In 0.5000 0.5000 0.5000
```

Largest 10 diffraction maxima, by intensity, 15° ≤ 2θ ≤ 90°:
(hkl)	2theta	I (rel.)
1 1 2	33.9	1000
2 0 0	38.1	372
3 1 2	66.2	277
2 0 4	57.8	196
2 2 4	71.3	196
0 0 4	41.8	130
2 2 0	55.0	126
1 0 0	18.8	96
1 0 2	28.0	73
1 0 1	21.4	70

=====

Record 3
Starting from a crystal structure in OQMD, relaxed with GGA-PBE, the PXRD pattern of TbNdIn was calculated for copper Kα.
No peak broadening, texture or thermal motion is included.

Atomic structure:
```
data_TbNdIn
_symmetry_space_group_name_H-M 'F -4 3 m'
_symmetry_Int_Tables_number 216
_symmetry_space_group_name_Hall 'F -4 2 3'
_cell_length_a 7.4456
_cell_length_b 7.4456
_cell_length_c 7.4456
_cell_angle_alpha 90.00
_cell_angle_beta 90.00
_cell_angle_gamma 90.00
loop_
_atom_site_label
_atom_site_type_symbol
_atom_site_fract_x
_atom_site_fract_y
_atom_site_fract_z
Tb1 Tb 0.0000 0.0000 0.0000
Nd1 Nd 0.0000 0.0000 0.5000
In1 In 0.2500 0.2500 0.7500
```

Largest 10 diffraction maxima, by intensity, 15° ≤ 2θ ≤ 90°:
(hkl)	2theta	I (rel.)
2 2 0	34.1	1000
4 2 2	61.0	368
2 0 0	23.9	240
1 1 1	20.7	187
4 0 0	48.9	179
6 2 0	81.8	159
4 4 0	71.7	113
4 2 0	55.2	101
3 1 1	40.2	100
2 2 2	42.0	73

=====

Record 4
Starting from a crystal structure in OQMD, relaxed with GGA-PBE, the PXRD pattern of NdIn2Te4 was calculated for copper Kα.
No peak broadening, texture or thermal motion is included.

Atomic structure:
```
data_NdIn2Te4
_symmetry_space_group_name_H-M 'I -4'
_symmetry_Int_Tables_number 82
_cell_length_a 6.6083
_cell_length_b 6.6083
_cell_length_c 12.9284
_cell_angle_alpha 90.00
_cell_angle_beta 90.00
_cell_angle_gamma 90.00
loop_
_symmetry_equiv_pos_as_xyz
'x,y,z'
'y,-x,-z'
'-x,-y,z'
'-y,x,-z'
'x+1/2,y+1/2,z+1/2'
'y+1/2,-x+1/2,-z+1/2'
'-x+1/2,-y+1/2,z+1/2'
'-y+1/2,x+1/2,-z+1/2'
loop_
_atom_site_label
_atom_site_type_symbol
_atom_site_fract_x
_atom_site_fract_y
_atom_site_fract_z
Nd1 Nd 0.0000 0.0000 0.0000
In1 In 0.0000 0.0000 0.5000
In2 In 0.0000 0.5000 0.7500
Te1 Te 0.2014 0.2679 0.3609
```

Largest 10 diffraction maxima, by intensity, 15° ≤ 2θ ≤ 90°:
(hkl)	2theta	I (rel.)
1 1 2	23.5	1000
2 0 4	39.0	465
3 1 2	45.6	254
2 2 0	38.5	228
1 2 1	31.0	164
1 3 6	61.8	143
1 1 6	46.4	134
2 4 4	70.0	101
1 0 3	24.7	81
2 0 2	30.4	74